This entry pairs a crystal structure of Sr2Mg3Cu2 with its calculated PXRD pattern. Radiation: copper Kα. Structure: DFT lattice parameters and positions (GGA-PBE).
Neutral-atom scattering factors, no anomalous dispersion.

The 6 most intense peaks (2θ = 10–90°), in order of rising 2θ:
21.82°, 4.074 Å, rel. 861, (1 1 0); 24.92°, 3.573 Å, rel. 741, (0 0 2); 30.11°, 2.968 Å, rel. 679, (1 1 -2); 33.44°, 2.679 Å, rel. 860, (3 1 0); 33.84°, 2.649 Å, rel. 1000, (3 1 -2); 36.34°, 2.472 Å, rel. 801, (1 1 2)

Atomic structure:
```
data_Sr2Mg3Cu2
_chemical_formula_sum 'Sr4 Mg6 Cu4'
_space_group_name_H-M_alt 'C 1 2/m 1'
_space_group_IT_number 12
_cell_length_a 11.2637
_cell_length_b 4.4558
_cell_length_c 8.0021
_cell_angle_alpha 90.00
_cell_angle_beta 116.73
_cell_angle_gamma 90.00
loop_
_space_group_symop_operation_xyz
'x,y,z'
'-x,-y,-z'
'-x,y,-z'
'x,-y,z'
'x+1/2,y+1/2,z'
'-x+1/2,-y+1/2,-z'
'-x+1/2,y+1/2,-z'
'x+1/2,-y+1/2,z'
loop_
_atom_site_label
_atom_site_fract_x
_atom_site_fract_y
_atom_site_fract_z
Sr1 0.1386 0.0000 0.2777
Mg1 0.0000 0.5000 0.5000
Mg2 0.1435 0.5000 0.9330
Cu1 0.1371 0.0000 0.7066
```